Record 1
Theoretical X-ray powder pattern
Compound: LaN
Radiation: Cu Kα
Structure: a structure optimized by DFT (GGA-PBE)
Kinematic intensities with the Lorentz-polarization factor, no thermal factor.

Atomic structure:
```
LaN
1.0
3.1706 0.0000 0.0000
0.0000 3.1706 0.0000
0.0000 0.0000 3.1706
La N
1 1
Cartesian
0.0000 0.0000 0.0000
1.5853 1.5853 1.5853
```

Most intense lines, 10 to 90 degrees two-theta, sorted by position:
2θ/deg, I/Imax
28.14, 87
40.22, 100
49.81, 25
58.19, 16
65.87, 33
73.11, 32
86.90, 10

---

Record 2
Theoretical X-ray powder pattern
Compound: Th7Ru3
Radiation: Cu Kα
Structure: a structure optimized by DFT (GGA-PBE)
Kinematic intensities with the Lorentz-polarization factor, no thermal factor.

Atomic structure:
```
Th7Ru3
1.0
9.9607 0.0000 0.0000
-4.9803 8.6262 0.0000
0.0000 0.0000 6.3423
Th Ru
14 6
Cartesian
-1.8799 4.6654 0.0000
0.0000 2.1715 4.4537
-3.0997 7.5404 4.4537
1.8806 1.0858 1.2826
0.0000 5.7508 3.1227
1.8799 4.6654 0.0000
0.0000 7.9216 0.0000
4.9803 0.7046 3.1711
3.1004 3.9608 3.1711
4.9803 2.8754 6.2939
3.0997 7.5404 4.4537
8.0801 1.0858 1.2826
4.9803 6.4547 1.2826
6.8603 3.9608 3.1711
0.0000 3.2151 1.5772
-2.1960 7.0186 1.5772
2.7844 1.6076 4.7483
2.1960 7.0186 1.5772
7.1763 1.6076 4.7483
4.9803 5.4111 4.7483
```

Most intense lines, 10 to 90 degrees two-theta, sorted by position:
2θ/deg, I/Imax
27.35, 19
30.02, 47
30.84, 100
34.24, 46
35.12, 41
36.07, 32
53.82, 26
54.67, 28
55.17, 23
55.34, 18

---

Record 3
Theoretical X-ray powder pattern
Compound: TiCuHg2
Radiation: Cu Kα
Structure: a structure optimized by DFT (GGA-PBE)
Kinematic intensities with the Lorentz-polarization factor, no thermal factor.

Atomic structure:
```
TiCuHg2
1.0
6.5982 0.0000 0.0000
0.0000 6.5982 0.0000
0.0000 0.0000 6.5982
Ti Cu Hg
4 4 8
Cartesian
0.0000 0.0000 0.0000
0.0000 3.2991 3.2991
3.2991 0.0000 3.2991
3.2991 3.2991 0.0000
1.6496 1.6496 1.6496
1.6496 4.9487 4.9487
4.9487 1.6496 4.9487
4.9487 4.9487 1.6496
0.0000 0.0000 3.2991
0.0000 3.2991 0.0000
1.6496 1.6496 4.9487
1.6496 4.9487 1.6496
3.2991 0.0000 0.0000
3.2991 3.2991 3.2991
4.9487 1.6496 1.6496
4.9487 4.9487 4.9487
```

Most intense lines, 10 to 90 degrees two-theta, sorted by position:
2θ/deg, I/Imax
23.35, 35
38.59, 100
45.60, 20
55.72, 17
61.23, 9
69.83, 35
74.76, 7
82.74, 11
87.45, 7

---

Record 4
Theoretical X-ray powder pattern
Compound: MgPb2
Radiation: Cu Kα
Structure: a structure optimized by DFT (GGA-PBE)
Kinematic intensities with the Lorentz-polarization factor, no thermal factor.

Atomic structure:
```
MgPb2
1.0
10.4902 0.0000 0.0000
0.0000 5.8032 0.0000
0.0000 0.0000 5.7355
Mg Pb
4 8
Cartesian
0.0000 0.9724 1.4339
0.0000 4.8308 4.3017
5.2451 1.9292 4.3017
5.2451 3.8740 1.4339
1.7107 1.9093 4.3017
1.7107 3.8940 1.4339
3.5344 0.9923 1.4339
3.5344 4.8109 4.3017
6.9558 0.9923 1.4339
6.9558 4.8109 4.3017
8.7795 1.9093 4.3017
8.7795 3.8940 1.4339
```

Most intense lines, 10 to 90 degrees two-theta, sorted by position:
2θ/deg, I/Imax
16.90, 23
23.40, 46
29.83, 20
31.19, 40
33.76, 100
34.65, 43
43.70, 15
54.19, 17
57.16, 25
63.86, 21

---

Record 5
Theoretical X-ray powder pattern
Compound: CuSi4P3
Radiation: Cu Kα
Structure: a structure optimized by DFT (GGA-PBE)
Kinematic intensities with the Lorentz-polarization factor, no thermal factor.

Atomic structure:
```
CuSi4P3
1.0
1.9358 1.1176 11.5543
-1.9358 1.1176 11.5543
0.0000 -2.2353 11.5543
Cu Si P
1 4 3
Cartesian
0.0000 0.0000 0.0000
0.0000 0.0000 2.3796
0.0000 0.0000 8.8648
0.0000 0.0000 17.4533
0.0000 0.0000 26.2081
0.0000 0.0000 11.0709
0.0000 0.0000 19.7139
0.0000 0.0000 28.4899
```

Most intense lines, 10 to 90 degrees two-theta, sorted by position:
2θ/deg, I/Imax
28.55, 100
30.96, 38
46.94, 51
50.13, 38
55.86, 13
57.29, 35
71.11, 13
75.88, 11
87.23, 9
89.62, 15

---

Record 6
Theoretical X-ray powder pattern
Compound: Cu2PO4
Radiation: Cu Kα
Structure: a structure optimized by DFT (GGA-PBE)
Kinematic intensities with the Lorentz-polarization factor, no thermal factor.

Atomic structure:
```
Cu2PO4
1.0
6.0508 0.0000 0.0000
1.1692 6.2323 0.0000
0.9368 2.4715 9.0159
Cu P O
8 4 16
Cartesian
0.4910 1.2380 2.0772
1.9862 3.1944 4.2413
3.6242 3.2694 7.6192
4.2493 5.9791 7.8057
3.9075 2.7247 1.2102
4.5326 5.4343 1.3967
6.1706 5.5093 4.7746
7.6658 7.4657 6.9386
1.6848 4.6505 1.0392
3.1554 6.2551 4.5220
5.0014 2.4486 4.4939
6.4720 4.0532 7.9767
1.8012 3.6442 7.4972
2.0115 5.2121 4.3095
2.6476 6.8017 8.5132
1.6160 1.3067 3.6855
2.2162 3.3850 1.7821
2.6784 5.8626 1.2997
3.2430 6.6475 6.0218
3.6991 3.0140 5.0564
4.4577 5.6897 3.9595
4.9138 2.0562 2.9941
5.4784 2.8412 7.7161
5.9406 5.3187 7.2338
6.5408 7.3970 5.3304
5.5092 1.9020 0.5027
6.1452 3.4916 4.7063
6.3556 5.0596 1.5186
```

Most intense lines, 10 to 90 degrees two-theta, sorted by position:
2θ/deg, I/Imax
23.68, 21
27.70, 23
29.73, 100
29.84, 82
32.23, 53
35.31, 28
36.26, 25
37.23, 20
42.14, 18
43.60, 19

---

Record 7
Theoretical X-ray powder pattern
Compound: CrN2
Radiation: Cu Kα
Structure: a structure optimized by DFT (GGA-PBE)
Kinematic intensities with the Lorentz-polarization factor, no thermal factor.

Atomic structure:
```
CrN2
1.0
7.4592 -2.7005 0.0000
7.4592 2.7005 0.0000
-5.9701 0.0000 7.3368
Cr N
6 12
Cartesian
2.9816 2.5741 5.5026
-0.0763 1.3321 6.1691
6.0395 1.3321 4.8361
2.9088 -1.3321 2.5007
9.0246 -1.3321 1.1677
5.9667 -2.5741 1.8342
5.6090 1.8252 0.4628
1.6103 1.5956 5.8398
2.4167 0.3353 2.2117
6.3244 1.8252 3.2056
4.3529 1.5956 5.1654
-0.5683 -0.3353 5.8801
9.5167 0.3353 1.4567
4.5954 -1.5956 2.1714
2.6239 -1.8252 4.1312
6.5316 -0.3353 5.1251
7.3380 -1.5956 1.4970
3.3393 -1.8252 6.8740
```

Most intense lines, 10 to 90 degrees two-theta, sorted by position:
2θ/deg, I/Imax
18.13, 35
18.76, 16
24.32, 76
24.42, 100
26.20, 27
28.43, 11
36.37, 11
36.51, 15
38.05, 11
38.38, 19